This entry pairs a crystal structure of RbU3Se9 with its computed powder diffraction line list. Radiation: Cu Kα. Structure: a structure optimized by DFT (PBE).
No peak broadening, texture or thermal motion is included.

The 12 most intense peaks (10 to 80 degrees two-theta), by intensity:
d_spacing	two_theta	I (rel.)	index
4.455	19.93	100	2 0 0
2.572	34.88	64	2 2 0
5.372	16.50	56	0 0 1
1.858	49.04	45	2 2 2
2.300	39.16	37	2 0 2
2.686	33.36	32	0 0 2
2.228	40.50	27	4 0 0
4.600	19.29	25	1 0 1
1.427	65.42	24	4 2 2
1.715	53.44	24	4 0 2
3.715	23.95	21	1 1 1
5.144	17.24	21	1 1 0

Structural model:
```
data_RbU3Se9
_space_group_name_H-M_alt 'P 6/m m m'
_space_group_IT_number 191
_space_group_name_Hall '-P 6 2'
_cell_length_a 10.2884
_cell_length_b 10.2884
_cell_length_c 5.3716
_cell_angle_alpha 90.00
_cell_angle_beta 90.00
_cell_angle_gamma 120.00
loop_
_atom_site_label
_atom_site_type_symbol
_atom_site_fract_x
_atom_site_fract_y
_atom_site_fract_z
_atom_site_occupancy
Rb1 Rb 0.0000 0.0000 0.0000 1
U1 U 0.0000 0.5000 0.5000 1
Se1 Se 0.0000 0.5000 0.0000 1
Se2 Se 0.2030 0.4059 0.5000 1
```

***

This entry pairs a crystal structure of CsZnSbTeHO with its computed powder diffraction line list. Radiation: Cu Kα. Structure: a structure optimized by DFT (PBE).
No peak broadening, texture or thermal motion is included.

The 12 most intense peaks (10 to 80 degrees two-theta), by intensity:
d_spacing	two_theta	I (rel.)	index
3.184	28.03	100	1 1 1
3.623	24.57	68	1 1 -1
3.077	29.02	55	4 0 -1
2.141	42.21	48	1 1 -3
3.786	23.50	48	2 0 -2
6.974	12.69	40	0 0 1
3.487	25.54	36	0 0 2
2.754	32.51	35	3 1 0
2.611	34.34	27	3 1 -2
2.063	43.88	24	0 2 0
1.954	46.47	23	5 1 0
1.653	55.59	22	5 1 -4

Structural model:
```
data_CsZnSbTeHO
_space_group_name_H-M_alt 'C 1 m 1'
_space_group_IT_number 8
_cell_length_a 12.3193
_cell_length_b 4.1264
_cell_length_c 7.7452
_cell_angle_alpha 90.00
_cell_angle_beta 115.78
_cell_angle_gamma 90.00
loop_
_space_group_symop_operation_xyz
'x,y,z'
'x,-y,z'
'x+1/2,y+1/2,z'
'x+1/2,-y+1/2,z'
loop_
_atom_site_label
_atom_site_type_symbol
_atom_site_fract_x
_atom_site_fract_y
_atom_site_fract_z
_atom_site_occupancy
Cs1 Cs 0.0000 0.0000 0.0000 1
Zn1 Zn 0.2906 0.5000 0.2684 1
Sb1 Sb 0.1526 0.5000 0.5544 1
Te1 Te 0.4129 0.0000 0.5045 1
H1 H 0.2671 0.5000 0.0488 1
O1 O 0.1336 0.5000 0.2882 1
```